# K4O
Calculated PXRD pattern, Cu Kα (weighted mean of Kα1 and Kα2). Input: a DFT-relaxed cell (GGA-PBE, Alexandria).
No peak broadening, texture or thermal motion is included.

a = 8.2400 Å, b = 8.2114 Å, c = 9.6908 Å
α = 54.05°, β = 53.77°, γ = 72.18°
Positions (direct):
K: 0.0028 0.9972 0.8078
K: 0.0578 0.4422 0.2528
K: 0.4163 0.4187 0.7779
K: 0.4187 0.4163 0.3871
K: 0.4422 0.0578 0.2472
K: 0.4721 0.8629 0.8337
K: 0.8629 0.4721 0.8313
K: 0.9972 0.0028 0.1922
O: 0.1936 0.1936 0.8064
O: 0.4436 0.4436 0.0564

Most intense lines, 2θ from 10° to 80°, in order of rising 2θ:
13.35°, I 43; 25.94°, I 19; 26.07°, I 21; 26.88°, I 100; 29.14°, I 51; 35.31°, I 17; 37.11°, I 15; 44.28°, I 14

# KO
Calculated PXRD pattern, Cu Kα (weighted mean of Kα1 and Kα2). Input: a DFT-relaxed cell (GGA-PBE, Alexandria).
No peak broadening, texture or thermal motion is included.

a = 5.0945 Å, b = 6.9981 Å, c = 8.4734 Å
α = 90.00°, β = 90.00°, γ = 90.00°
Positions (direct):
K: 0.0948 0.1718 0.1248
K: 0.0948 0.3282 0.6248
K: 0.4052 0.6718 0.1248
K: 0.4052 0.8282 0.6248
K: 0.5948 0.1718 0.3752
K: 0.5948 0.3282 0.8752
K: 0.9052 0.6718 0.3752
K: 0.9052 0.8282 0.8752
O: 0.0826 0.0291 0.4286
O: 0.0826 0.4709 0.9286
O: 0.4174 0.5291 0.4286
O: 0.4174 0.9709 0.9286
O: 0.5826 0.0291 0.0714
O: 0.5826 0.4709 0.5714
O: 0.9174 0.5291 0.0714
O: 0.9174 0.9709 0.5714

Most intense lines, 2θ from 10° to 80°, in order of rising 2θ:
27.38°, I 23; 27.58°, I 60; 30.26°, I 100; 37.58°, I 44; 37.73°, I 24; 41.07°, I 23; 42.68°, I 22; 44.01°, I 49